Starting from a crystal structure in Alexandria, relaxed with PBE+U, the X-ray powder pattern of VSO4F3 was simulated for Cu Kα, 1.54184 Å.
No peak broadening, texture or thermal motion is included.

Largest 8 diffraction maxima, in order of falling intensity, 10° ≤ 2θ ≤ 90°:
2θ = 16.40°, I 100.0, (2 0 0); 2θ = 28.67°, I 46.6, (1 1 2); 2θ = 14.35°, I 37.9, (1 1 0); 2θ = 18.92°, I 36.8, (1 1 1); 2θ = 31.53°, I 12.2, (2 2 1); 2θ = 23.66°, I 11.7, (0 2 0); 2θ = 26.74°, I 11.3, (0 2 1); 2θ = 43.55°, I 7.4, (5 1 0)

Structure:
```
VSO4F3
1.0
10.8110 0.0000 0.0000
0.0000 7.5206 0.0000
0.0000 0.0000 7.2133
V S O F
4 4 16 12
Direct
0.0000 0.0000 0.0000 V
0.0000 0.0000 0.5000 V
0.5000 0.5000 0.0000 V
0.5000 0.5000 0.5000 V
0.0000 0.3503 0.2500 S
0.0000 0.6497 0.7500 S
0.5000 0.1497 0.7500 S
0.5000 0.8503 0.2500 S
0.0542 0.2128 0.1035 O
0.0542 0.7872 0.6035 O
0.1019 0.4429 0.3310 O
0.1019 0.5571 0.8310 O
0.3981 0.0571 0.8310 O
0.3981 0.9429 0.3310 O
0.4458 0.2872 0.6035 O
0.4458 0.7128 0.1035 O
0.5542 0.2872 0.8965 O
0.5542 0.7128 0.3965 O
0.6019 0.0571 0.6690 O
0.6019 0.9429 0.1690 O
0.8981 0.4429 0.1690 O
0.8981 0.5571 0.6690 O
0.9458 0.2128 0.3965 O
0.9458 0.7872 0.8965 O
0.0000 0.1027 0.7500 F
0.0000 0.8973 0.2500 F
0.1556 0.0646 0.4668 F
0.1556 0.9354 0.9668 F
0.3444 0.4354 0.9668 F
0.3444 0.5646 0.4668 F
0.5000 0.3973 0.2500 F
0.5000 0.6027 0.7500 F
0.6556 0.4354 0.5332 F
0.6556 0.5646 0.0332 F
0.8444 0.0646 0.0332 F
0.8444 0.9354 0.5332 F
```